This entry pairs a crystal structure of BeCuAg2 with its calculated powder X-ray diffraction pattern. Radiation: Cu Kα (λ = 1.5418 Å). Structure: a structure optimized by DFT (PBE).
Neutral-atom scattering factors, no anomalous dispersion.

The 10 most intense peaks (5 to 70 degrees two-theta), by angle:
two_theta  I (rel.)
21.79  57
29.92  35
34.68  45
38.54  27
39.49  26
41.03  100
41.32  55
41.64  95
44.43  26
64.03  20

```
4
Lattice="4.578 -1.604 0.000 4.578 1.604 0.000 -1.986 0.000 3.894" Properties=species:S:1:pos:R:3 pbc="T T T"
Be 0.000 0.000 0.000
Cu 3.585 0.000 1.947
Ag 1.031 0.000 3.042
Ag 6.140 0.000 0.852
```